(1)
Diffraction record for NpZn4Pd15. The XRD peak list is calculated, not measured: it uses a cell relaxed with PBE and Cu Kα.
Peak positions follow from Bragg's law for the DFT cell and can differ from measured ones.

Crystal structure
abc: 4.005 4.005 19.314
angles: 90.00 90.00 90.00
Fractional coordinates of all 20 atoms:
Np1 0.000 0.000 0.000
Zn1 0.000 0.000 0.209
Zn2 0.000 0.000 0.402
Zn3 0.000 0.000 0.598
Zn4 0.000 0.000 0.791
Pd1 0.000 0.500 0.105
Pd2 0.000 0.500 0.305
Pd3 0.000 0.500 0.500
Pd4 0.000 0.500 0.695
Pd5 0.000 0.500 0.895
Pd6 0.500 0.000 0.105
Pd7 0.500 0.000 0.305
Pd8 0.500 0.000 0.500
Pd9 0.500 0.000 0.695
Pd10 0.500 0.000 0.895
Pd11 0.500 0.500 0.000
Pd12 0.500 0.500 0.206
Pd13 0.500 0.500 0.403
Pd14 0.500 0.500 0.597
Pd15 0.500 0.500 0.794

Principal peaks in the range 2θ from 5° to 70°, in order of rising 2θ:
2theta  I/Imax
9.16  3
22.68  2
24.06  2
26.21  2
36.79  3
39.46  100
45.29  34
47.05  14
65.97  11
67.36  19


(2)
Diffraction record for PmNpPt6. The XRD peak list is calculated, not measured: it uses a cell relaxed with PBE and Cu Kα.
Peak positions follow from Bragg's law for the DFT cell and can differ from measured ones.

Crystal structure
abc: 5.333 5.333 5.333
angles: 90.00 90.00 90.00
Fractional coordinates of all 8 atoms:
Pm1 0.000 0.000 0.000
Np1 0.500 0.500 0.500
Pt1 0.000 0.253 0.500
Pt2 0.000 0.747 0.500
Pt3 0.253 0.500 0.000
Pt4 0.500 0.000 0.253
Pt5 0.500 0.000 0.747
Pt6 0.747 0.500 0.000

Principal peaks in the range 2θ from 5° to 70°, in order of rising 2θ:
2theta  I/Imax
16.62  2
33.61  33
37.72  100
41.48  75
51.41  1
60.11  9
62.83  23
65.49  40


(3)
Diffraction record for Pm2NpRu3. The XRD peak list is calculated, not measured: it uses a cell relaxed with PBE and Cu Kα.
Peak positions follow from Bragg's law for the DFT cell and can differ from measured ones.

Crystal structure
abc: 5.912 5.912 8.017
angles: 90.00 90.00 120.00
Fractional coordinates of all 12 atoms:
Pm1 0.333 0.667 0.059
Pm2 0.333 0.667 0.441
Pm3 0.667 0.333 0.559
Pm4 0.667 0.333 0.941
Np1 0.000 0.000 0.000
Np2 0.000 0.000 0.500
Ru1 0.163 0.327 0.750
Ru2 0.163 0.837 0.750
Ru3 0.327 0.163 0.250
Ru4 0.673 0.837 0.750
Ru5 0.837 0.163 0.250
Ru6 0.837 0.673 0.250

Principal peaks in the range 2θ from 5° to 70°, in order of rising 2θ:
2theta  I/Imax
17.32  23
30.24  53
36.86  46
37.82  100
37.98  32
41.87  19
58.81  28
58.93  19
62.88  26
69.13  14


(4)
Diffraction record for Pm2Np2S7. The XRD peak list is calculated, not measured: it uses a cell relaxed with PBE and Cu Kα.
Peak positions follow from Bragg's law for the DFT cell and can differ from measured ones.

Crystal structure
abc: 8.497 8.497 8.497
angles: 152.90 67.83 119.15
Fractional coordinates of all 11 atoms:
Pm1 0.242 0.000 0.242
Pm2 0.758 0.000 0.758
Np1 0.293 0.793 0.500
Np2 0.751 0.751 0.000
S1 0.016 0.698 0.318
S2 0.071 0.071 0.000
S3 0.368 0.473 0.895
S4 0.379 0.698 0.682
S5 0.578 0.473 0.105
S6 0.671 0.300 0.371
S7 0.929 0.300 0.629

Principal peaks in the range 2θ from 5° to 70°, in order of rising 2θ:
2theta  I/Imax
24.23  100
24.63  57
25.26  43
27.74  65
35.57  82
40.83  51
43.89  30
45.56  21
46.06  23
52.26  26